# HoNi3H3
Theoretical powder diffractogram, a wavelength of 1.5418 Å. Input: a crystal structure in Alexandria, relaxed with GGA-PBE.
Intensities are scaled so that the largest is 100.

Most intense lines, 2θ = 10–80°, by intensity:
- 36.53 deg, I 100.0, hkl 2 2 2
- 42.44 deg, I 46.8, hkl 4 0 0
- 29.66 deg, I 41.3, hkl 2 2 0
- 47.74 deg, I 25.2, hkl 4 2 0
- 18.03 deg, I 21.7, hkl 1 1 1
- 61.57 deg, I 21.1, hkl 4 4 0
- 73.77 deg, I 20.9, hkl 6 2 2
- 20.85 deg, I 18.8, hkl 2 0 0
- 69.82 deg, I 18.4, hkl 6 2 0
- 65.76 deg, I 18.2, hkl 4 4 2

Crystal structure
a b c (Å): 8.520 8.520 8.520
angles (deg): 90.00 90.00 90.00
Space group Fm-3m (No. 225)
Unique sites:
Ho1 0.250 0.250 0.250 x8
Ni1 0.000 0.000 0.197 x24
H1 0.000 0.000 0.369 x24